For Pr4HoEr4, a DFT-relaxed cell (GGA-PBE, Alexandria) gives the computed PXRD pattern in this record (copper Kα).

Crystal structure
Cell lengths 8.060, 8.060, 8.060 Å; angles 95.68, 95.68, 143.32 degrees
Sites, in units of the cell vectors:
Pr1 0.167 0.167 0.333
Pr2 0.167 0.833 0.000
Pr3 0.833 0.167 0.000
Pr4 0.833 0.833 0.667
Ho1 0.500 0.500 0.000
Er1 0.164 0.500 0.664
Er2 0.500 0.164 0.664
Er3 0.500 0.836 0.336
Er4 0.836 0.500 0.336

Peak list (12 most intense, 2θ = 10–90°, sorted by position)
30.4°, rel. 1000; 35.2°, rel. 339; 35.4°, rel. 167; 50.6°, rel. 121; 50.8°, rel. 241; 60.2°, rel. 288; 60.5°, rel. 143; 63.3°, rel. 124; 82.5°, rel. 59; 82.7°, rel. 118; 85.1°, rel. 55; 85.2°, rel. 55